No. 1
Diffraction record for ReBCl. The powder diffractogram is theoretical, not measured: it uses a crystal structure in Alexandria, relaxed with GGA-PBE and Cu Kα.

Top 6 peaks for 10° ≤ 2θ ≤ 90°, in order of rising 2θ:
2θ (°), Rel. int., index
18.22, 84, 0 0 1
29.38, 100, 1 0 0
34.79, 56, 1 0 1
42.03, 43, 1 1 0
47.86, 52, 1 0 2
57.16, 35, 1 1 2

Cell and atoms:
Cell: 3.0402 3.0402 4.8702 Å, 90.00 90.00 90.00°
Space group P4/mmm (No. 123)
Symmetry-distinct sites (fractional):
Re 0.0000 0.0000 0.0000
B 0.5000 0.5000 0.0000
Cl 0.0000 0.0000 0.5000

No. 2
Diffraction record for TbPm6Ho12. The powder diffractogram is theoretical, not measured: it uses a crystal structure in Alexandria, relaxed with GGA-PBE and Cu Kα.

Top 6 peaks for 10° ≤ 2θ ≤ 90°, in order of rising 2θ:
2θ (°), Rel. int., index
27.90, 20, 3 0 0
30.75, 21, 0 0 6
31.94, 100, 0 3 3
42.00, 18, 3 0 6
49.37, 19, 3 3 0
55.44, 16, 3 0 9

Cell and atoms:
Cell: 11.0763 11.0763 17.4439 Å, 90.00 90.00 120.00°
Space group R-3m (No. 166, hexagonal axes)
Symmetry-distinct sites (fractional):
Tb 0.0000 0.0000 0.0000
Pm 0.0703 0.5351 0.7665
Ho 0.1011 0.5505 0.4137
Ho 0.1062 0.2124 0.4085

No. 3
Diffraction record for ScPa6Sn10. The powder diffractogram is theoretical, not measured: it uses a crystal structure in Alexandria, relaxed with GGA-PBE and Cu Kα.

Top 6 peaks for 10° ≤ 2θ ≤ 90°, in order of rising 2θ:
2θ (°), Rel. int., index
24.25, 30, 1 1 1
29.36, 27, 0 0 2
33.18, 100, 3 -1 1
33.73, 77, 3 0 0
35.37, 87, 1 1 2
43.56, 38, 4 -1 1

Cell and atoms:
Cell: 9.2044 9.2044 6.0850 Å, 90.00 90.00 120.00°
Space group P-31m (No. 162)
Symmetry-distinct sites (fractional):
Sc 0.0000 0.0000 0.0000
Pa 0.0000 0.3881 0.7562
Sn 0.0000 0.2599 0.2723
Sn 0.3333 0.6667 0.0000
Sn 0.3333 0.6667 0.5000

No. 4
Diffraction record for Nd4Dy3Er2. The powder diffractogram is theoretical, not measured: it uses a crystal structure in Alexandria, relaxed with GGA-PBE and Cu Kα.

Top 6 peaks for 10° ≤ 2θ ≤ 90°, in order of rising 2θ:
2θ (°), Rel. int., index
31.16, 98, 2 0 2
31.55, 100, 3 3 0
44.94, 34, 2 6 2
55.94, 34, 5 3 2
56.19, 17, 6 0 0
61.83, 29, 3 3 4

Cell and atoms:
Cell: 9.8312 16.9976 7.0740 Å, 90.00 90.00 90.00°
Space group Cccm (No. 66)
Symmetry-distinct sites (fractional):
Nd 0.1514 0.1722 0.0000
Nd 0.1653 0.4864 0.0000
Dy 0.0000 0.0000 0.2500
Dy 0.0000 0.3288 0.2500
Er 0.1842 0.1613 0.5000